ErIn7: simulated powder diffractogram (Cu Kα), based on a DFT-relaxed cell (PBE, Alexandria).

Most intense lines, 2θ = 10–80°, sorted by position:
- 2θ = 16.31°, rel. 1
- 2θ = 18.85°, rel. 1
- 2θ = 26.78°, rel. 1
- 2θ = 31.51°, rel. 1
- 2θ = 32.95°, rel. 100
- 2θ = 38.23°, rel. 50
- 2θ = 55.18°, rel. 33
- 2θ = 65.79°, rel. 39
- 2θ = 69.12°, rel. 11

Structure:
```
ErIn7
1.0
0.0000 4.7080 4.7080
4.7080 0.0000 4.7080
4.7080 4.7080 0.0000
Er In
1 7
Direct
0.0000 0.0000 0.0000
0.0000 0.0000 0.5000
0.0000 0.5000 0.0000
0.0000 0.5000 0.5000
0.5000 0.0000 0.0000
0.5000 0.0000 0.5000
0.5000 0.5000 0.0000
0.5000 0.5000 0.5000
```

Er7In5: simulated powder diffractogram (Cu Kα), based on a DFT-relaxed cell (PBE, Alexandria).

Most intense lines, 2θ = 10–80°, sorted by position:
- 2θ = 30.62°, rel. 32
- 2θ = 30.75°, rel. 43
- 2θ = 33.37°, rel. 82
- 2θ = 33.87°, rel. 100
- 2θ = 34.12°, rel. 91
- 2θ = 35.44°, rel. 29
- 2θ = 35.91°, rel. 32
- 2θ = 51.12°, rel. 25
- 2θ = 54.73°, rel. 38
- 2θ = 62.43°, rel. 27

Structure:
```
Er7In5
1.0
8.5479 -1.7867 0.0000
8.5479 1.7867 0.0000
-5.8664 0.0000 10.7397
Er In
7 5
Direct
0.0000 0.0000 0.0000
0.1396 0.1396 0.7598
0.1663 0.1663 0.5066
0.4653 0.4653 0.7517
0.5347 0.5347 0.2483
0.8337 0.8337 0.4934
0.8604 0.8604 0.2402
0.1985 0.1985 0.2557
0.3412 0.3412 0.0020
0.5000 0.5000 0.5000
0.6588 0.6588 0.9980
0.8015 0.8015 0.7443
```

Er13In3: simulated powder diffractogram (Cu Kα), based on a DFT-relaxed cell (PBE, Alexandria).

Most intense lines, 2θ = 10–80°, sorted by position:
- 2θ = 29.48°, rel. 21
- 2θ = 29.84°, rel. 13
- 2θ = 32.36°, rel. 36
- 2θ = 33.73°, rel. 100
- 2θ = 34.05°, rel. 44
- 2θ = 44.34°, rel. 14
- 2θ = 52.75°, rel. 17
- 2θ = 58.60°, rel. 20
- 2θ = 63.26°, rel. 20
- 2θ = 63.70°, rel. 14

Structure:
```
Er13In3
1.0
7.0245 0.0000 0.0000
0.0000 5.5329 5.9878
0.0000 -5.5329 5.9878
Er In
13 3
Direct
0.0000 0.0000 0.0000
0.0000 0.4074 0.9033
0.0000 0.4745 0.4745
0.0000 0.9033 0.4074
0.2542 0.1435 0.6590
0.2542 0.6590 0.1435
0.2537 0.7267 0.7267
0.5000 0.3818 0.9112
0.5000 0.4708 0.4708
0.5000 0.9112 0.3818
0.7458 0.1435 0.6590
0.7458 0.6590 0.1435
0.7463 0.7267 0.7267
0.2390 0.2373 0.2373
0.5000 0.9708 0.9708
0.7610 0.2373 0.2373
```

Er5In3: simulated powder diffractogram (Cu Kα), based on a DFT-relaxed cell (PBE, Alexandria).

Most intense lines, 2θ = 10–80°, sorted by position:
- 2θ = 27.56°, rel. 14
- 2θ = 29.90°, rel. 21
- 2θ = 30.37°, rel. 36
- 2θ = 33.44°, rel. 100
- 2θ = 34.13°, rel. 68
- 2θ = 34.55°, rel. 30
- 2θ = 49.36°, rel. 17
- 2θ = 52.59°, rel. 28
- 2θ = 55.05°, rel. 16
- 2θ = 66.64°, rel. 18

Structure:
```
Er5In3
1.0
8.9924 0.0000 0.0000
-4.4962 7.7876 0.0000
0.0000 0.0000 6.4729
Er In
10 6
Direct
0.0000 0.2347 0.2500
0.0000 0.7653 0.7500
0.2347 0.0000 0.2500
0.2347 0.2347 0.7500
0.3333 0.6667 0.0000
0.3333 0.6667 0.5000
0.6667 0.3333 0.0000
0.6667 0.3333 0.5000
0.7653 0.0000 0.7500
0.7653 0.7653 0.2500
0.0000 0.4026 0.7500
0.0000 0.5974 0.2500
0.4026 0.0000 0.7500
0.4026 0.4026 0.2500
0.5974 0.0000 0.2500
0.5974 0.5974 0.7500
```

Repeat the second record exactly.
Er7In5: simulated powder diffractogram (Cu Kα), based on a DFT-relaxed cell (PBE, Alexandria).

Most intense lines, 2θ = 10–80°, sorted by position:
- 2θ = 30.62°, rel. 32
- 2θ = 30.75°, rel. 43
- 2θ = 33.37°, rel. 82
- 2θ = 33.87°, rel. 100
- 2θ = 34.12°, rel. 91
- 2θ = 35.44°, rel. 29
- 2θ = 35.91°, rel. 32
- 2θ = 51.12°, rel. 25
- 2θ = 54.73°, rel. 38
- 2θ = 62.43°, rel. 27

Structure:
```
Er7In5
1.0
8.5479 -1.7867 0.0000
8.5479 1.7867 0.0000
-5.8664 0.0000 10.7397
Er In
7 5
Direct
0.0000 0.0000 0.0000
0.1396 0.1396 0.7598
0.1663 0.1663 0.5066
0.4653 0.4653 0.7517
0.5347 0.5347 0.2483
0.8337 0.8337 0.4934
0.8604 0.8604 0.2402
0.1985 0.1985 0.2557
0.3412 0.3412 0.0020
0.5000 0.5000 0.5000
0.6588 0.6588 0.9980
0.8015 0.8015 0.7443
```

- What is the formula in the third record?
  Er13In3